[1]
# Ac3OsCl2
Simulated X-ray diffraction stick pattern, a wavelength of 1.5418 Å. Input: a cell relaxed with PBE.

The 6 most intense peaks (5° ≤ 2θ ≤ 70°), in order of falling intensity:
2θ/deg	I/Imax
26.73	100
40.47	67
11.48	59
29.81	50
47.12	37
15.87	31

Structure:
Lattice parameters (Å, degrees): 16.019 5.993 4.383 90.00 105.78 90.00
Sites, in units of the cell vectors:
Ac 0.000 0.000 0.000
Ac 0.128 0.500 0.628
Ac 0.372 0.000 0.372
Ac 0.500 0.500 0.000
Ac 0.628 0.000 0.628
Ac 0.872 0.500 0.372
Os 0.000 0.500 0.000
Os 0.500 0.000 0.000
Cl 0.188 0.000 0.690
Cl 0.312 0.500 0.310
Cl 0.688 0.500 0.690
Cl 0.812 0.000 0.310



[2]
# Ba5SeS4
Simulated X-ray diffraction stick pattern, a wavelength of 1.5418 Å. Input: a cell relaxed with PBE.

The 6 most intense peaks (5° ≤ 2θ ≤ 70°), in order of falling intensity:
2θ/deg	I/Imax
27.42	100
39.17	75
23.69	48
64.02	34
48.48	26
46.29	25

Structure:
Lattice parameters (Å, degrees): 12.175 12.175 12.175 158.24 149.01 38.19
Sites, in units of the cell vectors:
Ba 0.000 0.000 0.000
Ba 0.199 0.199 0.000
Ba 0.396 0.396 0.000
Ba 0.604 0.604 0.000
Ba 0.801 0.801 0.000
Se 0.500 0.000 0.500
S 0.101 0.601 0.500
S 0.298 0.798 0.500
S 0.702 0.202 0.500
S 0.899 0.399 0.500



[3]
# Th4Co3Os
Simulated X-ray diffraction stick pattern, a wavelength of 1.5418 Å. Input: a cell relaxed with PBE.

The 6 most intense peaks (5° ≤ 2θ ≤ 70°), in order of falling intensity:
2θ/deg	I/Imax
33.38	100
40.63	58
32.02	44
27.27	33
33.69	32
44.97	23

Structure:
Lattice parameters (Å, degrees): 3.799 4.031 11.181 90.00 90.00 90.00
Sites, in units of the cell vectors:
Th 0.000 0.000 0.000
Th 0.000 0.500 0.266
Th 0.500 0.000 0.495
Th 0.500 0.500 0.769
Co 0.000 0.500 0.531
Co 0.500 0.000 0.222
Co 0.500 0.500 0.045
Os 0.000 0.000 0.719



[4]
# K2AgBr3
Simulated X-ray diffraction stick pattern, a wavelength of 1.5418 Å. Input: a cell relaxed with PBE.

The 6 most intense peaks (5° ≤ 2θ ≤ 70°), in order of falling intensity:
2θ/deg	I/Imax
29.00	100
32.51	86
39.37	83
28.72	81
27.45	76
19.98	75

Structure:
Lattice parameters (Å, degrees): 9.530 4.578 18.489 90.00 90.00 90.00
Sites, in units of the cell vectors:
K 0.079 0.250 0.215
K 0.241 0.250 0.960
K 0.259 0.750 0.460
K 0.421 0.750 0.715
K 0.579 0.250 0.285
K 0.741 0.250 0.540
K 0.759 0.750 0.040
K 0.921 0.750 0.785
Ag 0.123 0.250 0.633
Ag 0.377 0.750 0.133
Ag 0.623 0.250 0.867
Ag 0.877 0.750 0.367
Br 0.017 0.250 0.403
Br 0.119 0.750 0.072
Br 0.184 0.250 0.777
Br 0.316 0.750 0.277
Br 0.381 0.250 0.572
Br 0.483 0.750 0.903
Br 0.517 0.250 0.097
Br 0.619 0.750 0.428
Br 0.684 0.250 0.723
Br 0.816 0.750 0.223
Br 0.881 0.250 0.928
Br 0.983 0.750 0.597



[5]
# Pr8PPd3I4
Simulated X-ray diffraction stick pattern, a wavelength of 1.5418 Å. Input: a cell relaxed with PBE.

The 6 most intense peaks (5° ≤ 2θ ≤ 70°), in order of falling intensity:
2θ/deg	I/Imax
28.26	100
41.99	38
38.72	29
51.39	19
68.45	16
30.46	14

Structure:
Lattice parameters (Å, degrees): 9.363 9.363 9.363 54.72 54.72 54.72
Sites, in units of the cell vectors:
Pr 0.229 0.229 0.229
Pr 0.236 0.730 0.730
Pr 0.270 0.270 0.764
Pr 0.270 0.764 0.270
Pr 0.730 0.236 0.730
Pr 0.730 0.730 0.236
Pr 0.764 0.270 0.270
Pr 0.771 0.771 0.771
P 0.500 0.500 0.500
Pd 0.000 0.000 0.500
Pd 0.000 0.500 0.000
Pd 0.500 0.000 0.000
I 0.000 0.000 0.000
I 0.000 0.500 0.500
I 0.500 0.000 0.500
I 0.500 0.500 0.000



[6]
# Ac7GeP5
Simulated X-ray diffraction stick pattern, a wavelength of 1.5418 Å. Input: a cell relaxed with PBE.

The 6 most intense peaks (5° ≤ 2θ ≤ 70°), in order of falling intensity:
2θ/deg	I/Imax
26.76	100
28.05	72
29.09	62
24.96	60
49.28	39
24.69	35

Structure:
Lattice parameters (Å, degrees): 7.614 7.614 26.220 90.00 90.00 146.05
Sites, in units of the cell vectors:
Ac 0.046 0.954 0.750
Ac 0.137 0.863 0.035
Ac 0.137 0.863 0.465
Ac 0.317 0.683 0.676
Ac 0.317 0.683 0.824
Ac 0.412 0.588 0.106
Ac 0.412 0.588 0.394
Ac 0.588 0.412 0.606
Ac 0.588 0.412 0.894
Ac 0.683 0.317 0.176
Ac 0.683 0.317 0.324
Ac 0.863 0.137 0.535
Ac 0.863 0.137 0.965
Ac 0.954 0.046 0.250
Ge 0.297 0.703 0.250
Ge 0.703 0.297 0.750
P 0.046 0.954 0.145
P 0.046 0.954 0.355
P 0.227 0.773 0.574
P 0.227 0.773 0.926
P 0.500 0.500 0.000
P 0.500 0.500 0.500
P 0.773 0.227 0.074
P 0.773 0.227 0.426
P 0.954 0.046 0.645
P 0.954 0.046 0.855



[7]
# FeRe3N6
Simulated X-ray diffraction stick pattern, a wavelength of 1.5418 Å. Input: a cell relaxed with PBE.

The 6 most intense peaks (5° ≤ 2θ ≤ 70°), in order of falling intensity:
2θ/deg	I/Imax
34.67	100
33.98	99
37.38	38
36.14	28
47.07	27
34.15	26

Structure:
Lattice parameters (Å, degrees): 4.814 5.251 8.993 90.00 120.82 90.00
Sites, in units of the cell vectors:
Fe 0.000 0.000 0.000
Fe 0.000 0.500 0.500
Re 0.194 0.091 0.740
Re 0.194 0.409 0.240
Re 0.500 0.000 0.500
Re 0.500 0.500 0.000
Re 0.806 0.591 0.760
Re 0.806 0.909 0.260
N 0.079 0.205 0.408
N 0.079 0.295 0.908
N 0.234 0.677 0.411
N 0.234 0.823 0.911
N 0.419 0.071 0.250
N 0.419 0.429 0.750
N 0.581 0.571 0.250
N 0.581 0.929 0.750
N 0.766 0.177 0.089
N 0.766 0.323 0.589
N 0.921 0.705 0.092
N 0.921 0.795 0.592